Record 1
The following is a theoretical PXRD pattern of TlAs3PbS6. It was derived from a cell relaxed with GGA-PBE, using λ = 1.5418 Å (Cu Kα).

Peak list (8 most intense, 10° ≤ 2θ ≤ 80°, in order of rising 2θ)
| d/Å | 2theta | I/Imax |
| --- | --- | --- |
| 3.931 | 22.6 | 40.6 |
| 3.881 | 22.9 | 100.0 |
| 3.463 | 25.7 | 26.5 |
| 2.988 | 29.9 | 18.7 |
| 2.938 | 30.4 | 39.2 |
| 2.811 | 31.8 | 86.9 |
| 2.708 | 33.1 | 29.1 |
| 2.306 | 39.1 | 19.8 |

Structural model:
a b c (Å): 24.3651 8.4044 25.4198
angles (deg): 73.25 19.29 87.46
Sites, in units of the cell vectors:
Tl 0.1732 0.8268 0.2650
Tl 0.5150 0.9850 0.4232
Tl 0.8268 0.1732 0.7350
Tl 0.9850 0.5150 0.0768
As 0.0321 0.6855 0.6202
As 0.0415 0.6016 0.7925
As 0.1557 0.2007 0.7765
As 0.2007 0.1557 0.8671
As 0.3829 0.4735 0.0493
As 0.4575 0.6855 0.2085
As 0.4735 0.3829 0.0943
As 0.5879 0.6298 0.5645
As 0.6016 0.0415 0.5645
As 0.6298 0.5879 0.2179
As 0.6855 0.0321 0.6621
As 0.6855 0.4575 0.6484
Pb 0.1626 0.9666 0.0820
Pb 0.1680 0.4612 0.0874
Pb 0.4612 0.1680 0.2834
Pb 0.9666 0.1626 0.7888
S 0.0620 0.2818 0.9292
S 0.1946 0.3155 0.9671
S 0.2100 0.8161 0.9536
S 0.2297 0.2964 0.4339
S 0.2337 0.7257 0.3609
S 0.2818 0.0620 0.7270
S 0.2829 0.7273 0.0554
S 0.2964 0.2297 0.0400
S 0.3155 0.1946 0.5227
S 0.3208 0.5230 0.1880
S 0.3501 0.6670 0.3917
S 0.5083 0.5933 0.4106
S 0.5230 0.3208 0.9682
S 0.5703 0.8891 0.5243
S 0.5933 0.5083 0.4878
S 0.6589 0.8583 0.5830
S 0.6670 0.3501 0.5911
S 0.7257 0.2337 0.6797
S 0.7273 0.2829 0.9345
S 0.7622 0.8394 0.6567
S 0.8161 0.2100 0.0203
S 0.8394 0.7622 0.7417
S 0.8583 0.6589 0.8999
S 0.8891 0.5703 0.0163

Record 2
The following is a theoretical PXRD pattern of AsPd3. It was derived from a cell relaxed with GGA-PBE, using λ = 1.5418 Å (Cu Kα).

Peak list (8 most intense, 10° ≤ 2θ ≤ 80°, in order of rising 2θ)
| d/Å | 2theta | I/Imax |
| --- | --- | --- |
| 2.439 | 36.9 | 100.0 |
| 2.386 | 37.7 | 28.1 |
| 2.328 | 38.7 | 54.9 |
| 2.264 | 39.8 | 38.4 |
| 2.197 | 41.1 | 99.5 |
| 2.028 | 44.7 | 27.8 |
| 1.986 | 45.7 | 24.3 |
| 1.951 | 46.5 | 35.6 |

Structural model:
a b c (Å): 7.5705 7.5705 7.5705
angles (deg): 96.07 96.07 142.05
Sites, in units of the cell vectors:
As 0.0499 0.2248 0.7405
As 0.4843 0.3095 0.2595
As 0.6905 0.9501 0.1748
As 0.7752 0.5157 0.8252
Pd 0.0912 0.4019 0.4680
Pd 0.1997 0.3657 0.1060
Pd 0.2221 0.6753 0.8938
Pd 0.2597 0.0937 0.8940
Pd 0.3247 0.2185 0.5467
Pd 0.3768 0.9088 0.3107
Pd 0.5981 0.0661 0.6893
Pd 0.6343 0.7403 0.8340
Pd 0.6718 0.7779 0.4533
Pd 0.7815 0.3282 0.1062
Pd 0.9063 0.8003 0.1660
Pd 0.9339 0.6232 0.5320

Record 3
The following is a theoretical PXRD pattern of AsPd5. It was derived from a cell relaxed with GGA-PBE, using λ = 1.5418 Å (Cu Kα).

Peak list (8 most intense, 10° ≤ 2θ ≤ 80°, in order of rising 2θ)
| d/Å | 2theta | I/Imax |
| --- | --- | --- |
| 2.364 | 38.1 | 15.1 |
| 2.296 | 39.2 | 100.0 |
| 2.279 | 39.5 | 15.7 |
| 2.265 | 39.8 | 73.3 |
| 2.259 | 39.9 | 24.9 |
| 2.151 | 42.0 | 36.9 |
| 1.960 | 46.3 | 25.4 |
| 1.848 | 49.3 | 17.3 |

Structural model:
a b c (Å): 4.8210 4.8210 8.5970
angles (deg): 95.04 95.04 108.76
Sites, in units of the cell vectors:
As 0.2273 0.2273 0.2127
As 0.7727 0.7727 0.7873
Pd 0.1841 0.8159 0.0000
Pd 0.2032 0.7240 0.3259
Pd 0.2567 0.2567 0.5069
Pd 0.2760 0.7968 0.6741
Pd 0.3542 0.3542 0.8520
Pd 0.6458 0.6458 0.1480
Pd 0.7240 0.2032 0.3259
Pd 0.7433 0.7433 0.4931
Pd 0.7968 0.2760 0.6741
Pd 0.8159 0.1841 0.0000

Record 4
The following is a theoretical PXRD pattern of As2Pd5. It was derived from a cell relaxed with GGA-PBE, using λ = 1.5418 Å (Cu Kα).

Peak list (8 most intense, 10° ≤ 2θ ≤ 80°, in order of rising 2θ)
| d/Å | 2theta | I/Imax |
| --- | --- | --- |
| 2.407 | 37.4 | 33.3 |
| 2.350 | 38.3 | 38.8 |
| 2.207 | 40.9 | 100.0 |
| 2.157 | 41.9 | 97.3 |
| 1.989 | 45.6 | 16.5 |
| 1.542 | 60.0 | 13.9 |
| 1.362 | 69.0 | 17.7 |
| 1.284 | 73.8 | 10.4 |

Structural model:
a b c (Å): 7.4711 7.4711 13.6758
angles (deg): 90.00 90.00 120.00
Sites, in units of the cell vectors:
As 0.0000 0.0000 0.0000
As 0.0000 0.0000 0.5000
As 0.0000 0.3292 0.2719
As 0.0000 0.6708 0.7719
As 0.3292 0.0000 0.2719
As 0.3292 0.3292 0.7719
As 0.3333 0.6667 0.0400
As 0.3333 0.6667 0.5400
As 0.6667 0.3333 0.0400
As 0.6667 0.3333 0.5400
As 0.6708 0.0000 0.7719
As 0.6708 0.6708 0.2719
Pd 0.0000 0.0000 0.2032
Pd 0.0000 0.0000 0.7032
Pd 0.0000 0.2460 0.8684
Pd 0.0000 0.2987 0.0760
Pd 0.0000 0.3844 0.4675
Pd 0.0000 0.3851 0.6813
Pd 0.0000 0.6149 0.1813
Pd 0.0000 0.6156 0.9675
Pd 0.0000 0.7013 0.5760
Pd 0.0000 0.7540 0.3684
Pd 0.2460 0.0000 0.8684
Pd 0.2460 0.2460 0.3684
Pd 0.2987 0.0000 0.0760
Pd 0.2987 0.2987 0.5760
Pd 0.3333 0.6667 0.3357
Pd 0.3333 0.6667 0.8357
Pd 0.3844 0.0000 0.4675
Pd 0.3844 0.3844 0.9675
Pd 0.3851 0.0000 0.6813
Pd 0.3851 0.3851 0.1813
Pd 0.6149 0.0000 0.1813
Pd 0.6149 0.6149 0.6813
Pd 0.6156 0.0000 0.9675
Pd 0.6156 0.6156 0.4675
Pd 0.6667 0.3333 0.3357
Pd 0.6667 0.3333 0.8357
Pd 0.7013 0.0000 0.5760
Pd 0.7013 0.7013 0.0760
Pd 0.7540 0.0000 0.3684
Pd 0.7540 0.7540 0.8684

Record 5
The following is a theoretical PXRD pattern of PrAsPd. It was derived from a cell relaxed with GGA-PBE, using λ = 1.5418 Å (Cu Kα).

Peak list (8 most intense, 10° ≤ 2θ ≤ 80°, in order of rising 2θ)
| d/Å | 2theta | I/Imax |
| --- | --- | --- |
| 2.745 | 32.6 | 100.0 |
| 2.200 | 41.0 | 51.7 |
| 1.979 | 45.8 | 12.5 |
| 1.717 | 53.4 | 24.5 |
| 1.472 | 63.2 | 28.4 |
| 1.354 | 69.4 | 22.0 |
| 1.270 | 74.7 | 8.6 |
| 1.247 | 76.4 | 8.4 |

Structural model:
a b c (Å): 4.4006 4.4006 7.9170
angles (deg): 90.00 90.00 120.00
Sites, in units of the cell vectors:
Pr 0.0000 0.0000 0.0000
Pr 0.0000 0.0000 0.5000
As 0.3333 0.6667 0.2500
As 0.6667 0.3333 0.7500
Pd 0.3333 0.6667 0.7500
Pd 0.6667 0.3333 0.2500

Record 6
The following is a theoretical PXRD pattern of PrAsPd. It was derived from a cell relaxed with GGA-PBE, using λ = 1.5418 Å (Cu Kα).

Peak list (8 most intense, 10° ≤ 2θ ≤ 80°, in order of rising 2θ)
| d/Å | 2theta | I/Imax |
| --- | --- | --- |
| 2.780 | 32.2 | 100.0 |
| 2.771 | 32.3 | 56.1 |
| 2.277 | 39.6 | 29.0 |
| 2.262 | 39.9 | 56.3 |
| 1.964 | 46.2 | 18.3 |
| 1.759 | 52.0 | 30.4 |
| 1.483 | 62.6 | 29.6 |
| 1.384 | 67.7 | 14.9 |

Structural model:
a b c (Å): 4.5239 4.5239 7.8576
angles (deg): 90.00 90.00 119.55
Sites, in units of the cell vectors:
Pr 0.0000 0.0000 0.2432
Pr 0.0000 0.0000 0.7568
As 0.3223 0.6777 0.5000
As 0.6777 0.3223 0.5000
Pd 0.3328 0.6672 0.0000
Pd 0.6672 0.3328 0.0000

Record 7
The following is a theoretical PXRD pattern of Rb2As2Pd. It was derived from a cell relaxed with GGA-PBE, using λ = 1.5418 Å (Cu Kα).

Peak list (8 most intense, 10° ≤ 2θ ≤ 80°, in order of rising 2θ)
| d/Å | 2theta | I/Imax |
| --- | --- | --- |
| 7.440 | 11.9 | 47.4 |
| 6.224 | 14.2 | 61.1 |
| 3.387 | 26.3 | 100.0 |
| 2.790 | 32.1 | 61.6 |
| 2.479 | 36.2 | 40.8 |
| 2.404 | 37.4 | 28.2 |
| 1.835 | 49.7 | 30.7 |
| 1.812 | 50.4 | 32.8 |

Structural model:
a b c (Å): 8.1910 8.1910 6.2992
angles (deg): 90.00 90.00 130.55
Sites, in units of the cell vectors:
Rb 0.0834 0.9166 0.7500
Rb 0.2934 0.7066 0.2500
Rb 0.7066 0.2934 0.7500
Rb 0.9166 0.0834 0.2500
As 0.2164 0.4295 0.7500
As 0.4295 0.2164 0.2500
As 0.5705 0.7836 0.7500
As 0.7836 0.5705 0.2500
Pd 0.5000 0.5000 0.0000
Pd 0.5000 0.5000 0.5000

Record 8
The following is a theoretical PXRD pattern of AsPdS. It was derived from a cell relaxed with GGA-PBE, using λ = 1.5418 Å (Cu Kα).

Peak list (8 most intense, 10° ≤ 2θ ≤ 80°, in order of rising 2θ)
| d/Å | 2theta | I/Imax |
| --- | --- | --- |
| 3.483 | 25.6 | 38.1 |
| 3.017 | 29.6 | 91.3 |
| 2.698 | 33.2 | 49.2 |
| 2.463 | 36.5 | 36.1 |
| 2.133 | 42.4 | 51.7 |
| 1.819 | 50.1 | 100.0 |
| 1.742 | 52.5 | 20.4 |
| 1.613 | 57.1 | 20.9 |

Structural model:
a b c (Å): 6.0335 6.0335 6.0335
angles (deg): 90.00 90.00 90.00
Sites, in units of the cell vectors:
As 0.1126 0.1126 0.1126
As 0.3874 0.8874 0.6126
As 0.6126 0.3874 0.8874
As 0.8874 0.6126 0.3874
Pd 0.9996 0.0004 0.5004
Pd 0.0004 0.5004 0.9996
Pd 0.5004 0.9996 0.0004
Pd 0.4996 0.4996 0.4996
S 0.1069 0.3931 0.6069
S 0.3931 0.6069 0.1069
S 0.6069 0.1069 0.3931
S 0.8931 0.8931 0.8931

Record 9
The following is a theoretical PXRD pattern of SbAsPd. It was derived from a cell relaxed with GGA-PBE, using λ = 1.5418 Å (Cu Kα).

Peak list (8 most intense, 10° ≤ 2θ ≤ 80°, in order of rising 2θ)
| d/Å | 2theta | I/Imax |
| --- | --- | --- |
| 3.161 | 28.2 | 46.0 |
| 2.827 | 31.6 | 100.0 |
| 2.581 | 34.8 | 75.2 |
| 2.235 | 40.3 | 28.9 |
| 1.906 | 47.7 | 93.5 |
| 1.753 | 52.2 | 25.8 |
| 1.690 | 54.3 | 42.2 |
| 1.217 | 78.6 | 29.7 |

Structural model:
a b c (Å): 6.3223 6.3223 6.3223
angles (deg): 90.00 90.00 90.00
Sites, in units of the cell vectors:
Sb 0.1191 0.3809 0.6191
Sb 0.3809 0.6191 0.1191
Sb 0.6191 0.1191 0.3809
Sb 0.8809 0.8809 0.8809
As 0.1236 0.1236 0.1236
As 0.3764 0.8764 0.6236
As 0.6236 0.3764 0.8764
As 0.8764 0.6236 0.3764
Pd 0.0092 0.9908 0.4908
Pd 0.4908 0.0092 0.9908
Pd 0.5092 0.5092 0.5092
Pd 0.9908 0.4908 0.0092

Record 10
The following is a theoretical PXRD pattern of SmAs2Pd3. It was derived from a cell relaxed with GGA-PBE, using λ = 1.5418 Å (Cu Kα).

Peak list (8 most intense, 10° ≤ 2θ ≤ 80°, in order of rising 2θ)
| d/Å | 2theta | I/Imax |
| --- | --- | --- |
| 2.919 | 30.6 | 26.9 |
| 2.601 | 34.5 | 41.4 |
| 2.590 | 34.6 | 100.0 |
| 2.497 | 36.0 | 23.0 |
| 2.304 | 39.1 | 29.2 |
| 2.135 | 42.3 | 22.0 |
| 2.067 | 43.8 | 29.6 |
| 2.062 | 43.9 | 53.6 |

Structural model:
a b c (Å): 8.6322 8.6322 10.0522
angles (deg): 107.47 107.47 27.63
Sites, in units of the cell vectors:
Sm 0.0000 0.0000 0.0000
Sm 0.1544 0.1544 0.7005
Sm 0.8456 0.8456 0.2995
As 0.1992 0.1992 0.1313
As 0.3639 0.3639 0.5458
As 0.4607 0.4607 0.2132
As 0.5393 0.5393 0.7868
As 0.6361 0.6361 0.4542
As 0.8008 0.8008 0.8687
Pd 0.0426 0.0426 0.3315
Pd 0.2211 0.2211 0.3903
Pd 0.3200 0.3200 0.0332
Pd 0.3780 0.3780 0.8012
Pd 0.5000 0.5000 0.5000
Pd 0.6220 0.6220 0.1988
Pd 0.6800 0.6800 0.9668
Pd 0.7789 0.7789 0.6097
Pd 0.9574 0.9574 0.6685

Record 11
The following is a theoretical PXRD pattern of SrAs2Pd2. It was derived from a cell relaxed with GGA-PBE, using λ = 1.5418 Å (Cu Kα).

Peak list (8 most intense, 10° ≤ 2θ ≤ 80°, in order of rising 2θ)
| d/Å | 2theta | I/Imax |
| --- | --- | --- |
| 5.209 | 17.0 | 22.8 |
| 2.734 | 32.8 | 42.4 |
| 2.686 | 33.4 | 100.0 |
| 2.217 | 40.7 | 64.2 |
| 2.004 | 45.3 | 35.8 |
| 1.722 | 53.2 | 20.9 |
| 1.568 | 58.9 | 21.2 |
| 1.354 | 69.4 | 23.0 |

Structural model:
a b c (Å): 6.0800 6.0800 6.0800
angles (deg): 137.23 137.23 62.09
Sites, in units of the cell vectors:
Sr 0.0000 0.0000 0.0000
As 0.3762 0.3762 0.0000
As 0.6238 0.6238 0.0000
Pd 0.2500 0.7500 0.5000
Pd 0.7500 0.2500 0.5000

Record 12
The following is a theoretical PXRD pattern of TbAsPd. It was derived from a cell relaxed with GGA-PBE, using λ = 1.5418 Å (Cu Kα).

Peak list (8 most intense, 10° ≤ 2θ ≤ 80°, in order of rising 2θ)
| d/Å | 2theta | I/Imax |
| --- | --- | --- |
| 2.701 | 33.2 | 38.0 |
| 2.672 | 33.5 | 64.4 |
| 2.648 | 33.9 | 24.3 |
| 2.558 | 35.1 | 100.0 |
| 2.490 | 36.1 | 30.9 |
| 2.244 | 40.2 | 45.7 |
| 2.089 | 43.3 | 40.7 |
| 1.431 | 65.2 | 22.0 |

Structural model:
a b c (Å): 7.0796 4.1773 7.9806
angles (deg): 90.00 90.00 90.00
Sites, in units of the cell vectors:
Tb 0.0295 0.2500 0.1914
Tb 0.4705 0.7500 0.6914
Tb 0.5295 0.2500 0.3086
Tb 0.9705 0.7500 0.8086
As 0.2503 0.2500 0.8803
As 0.2497 0.7500 0.3803
As 0.7503 0.2500 0.6197
As 0.7497 0.7500 0.1197
Pd 0.1449 0.2500 0.5626
Pd 0.3551 0.7500 0.0626
Pd 0.6449 0.2500 0.9374
Pd 0.8551 0.7500 0.4374